This entry pairs a crystal structure of Ta5Al3 with its calculated powder XRD pattern. Radiation: Cu Kα. Structure: a crystal structure in the Materials Project, relaxed with GGA-PBE.
Peak positions follow from Bragg's law for the DFT cell and can differ from measured ones.

```
data_Ta5Al3
_chemical_formula_sum 'Ta10 Al6'
_cell_length_a 7.8190
_cell_length_b 7.8190
_cell_length_c 5.2340
_cell_angle_alpha 90.00
_cell_angle_beta 90.00
_cell_angle_gamma 120.00
_space_group_name_H-M_alt 'P 63/m c m'
_space_group_IT_number 193
_space_group_name_Hall '-P 6c 2'
loop_
_atom_site_label
_atom_site_type_symbol
_atom_site_fract_x
_atom_site_fract_y
_atom_site_fract_z
_atom_site_occupancy
Ta1 Ta 0.0000 0.2299 0.2500 1
Ta2 Ta 0.3333 0.6667 0.0000 1
Al1 Al 0.0000 0.4046 0.7500 1
```

Principal peaks in the range 2θ = 10–90°, sorted by position:
d/Å	I/Imax
3.386	34.9
3.132	41.2
2.559	60.7
2.441	48.8
2.299	100.0
2.257	25.9
2.175	64.0
1.566	25.5
1.478	27.6
1.421	27.0